Record 1
Theoretical powder diffractogram of MoW2O8 for λ = 1.5418 Å (Cu Kα), from a DFT-relaxed cell (PBE+U, the Materials Project).
Kinematic intensities with the Lorentz-polarization factor, no thermal factor.

Structural model:
```
data_MoW2O8
_chemical_formula_sum 'Mo2 W4 O16'
_cell_length_a 5.060
_cell_length_b 5.853
_cell_length_c 10.846
_cell_angle_alpha 90.00
_cell_angle_beta 117.74
_cell_angle_gamma 90.00
_space_group_name_H-M_alt 'P 1 2/c 1'
_space_group_IT_number 13
_space_group_name_Hall '-P 2yc'
loop_
_atom_site_label
_atom_site_type_symbol
_atom_site_fract_x
_atom_site_fract_y
_atom_site_fract_z
Mo1 Mo 0.000 0.155 0.250
W1 W 0.228 0.330 0.993
O1 O 0.174 0.394 0.609
O2 O 0.214 0.156 0.132
O3 O 0.249 0.101 0.881
O4 O 0.315 0.391 0.395
```

Largest 8 diffraction maxima, sorted by position, 2θ from 5° to 70°:
18.49°, intensity 39.8, (0 0 2); 23.24°, intensity 36.1, (1 1 -1); 23.98°, intensity 33.2, (0 1 2); 29.86°, intensity 100.0, (1 1 -3); 35.46°, intensity 39.1, (2 0 -2); 40.27°, intensity 26.4, (2 0 0); 50.50°, intensity 16.3, (0 3 2); 52.54°, intensity 43.3, (2 0 2)

Record 2
Theoretical powder diffractogram of MoW2O8 for λ = 1.5418 Å (Cu Kα), from a DFT-relaxed cell (PBE+U, the Materials Project).
Kinematic intensities with the Lorentz-polarization factor, no thermal factor.

Structural model:
```
data_MoW2O8
_chemical_formula_sum 'Mo1 W2 O8'
_cell_length_a 5.146
_cell_length_b 5.425
_cell_length_c 6.937
_cell_angle_alpha 109.09
_cell_angle_beta 92.80
_cell_angle_gamma 104.33
_space_group_name_H-M_alt 'P -1'
_space_group_IT_number 2
_space_group_name_Hall '-P 1'
loop_
_atom_site_label
_atom_site_type_symbol
_atom_site_fract_x
_atom_site_fract_y
_atom_site_fract_z
Mo1 Mo 0.000 0.000 0.000
W1 W 0.263 0.468 0.815
O1 O 0.073 0.769 0.164
O2 O 0.133 0.736 0.769
O3 O 0.338 0.291 0.579
O4 O 0.377 0.295 0.027
```

Largest 8 diffraction maxima, sorted by position, 2θ from 5° to 70°:
13.65°, intensity 100.0, (0 0 1); 18.01°, intensity 58.9, (0 1 0); 21.01°, intensity 33.1, (1 0 -1); 24.15°, intensity 74.5, (1 0 1); 27.66°, intensity 53.7, (-1 1 1); 27.97°, intensity 48.2, (1 1 -1); 38.22°, intensity 31.7, (-1 1 2); 38.74°, intensity 29.3, (1 -2 2)

Record 3
Theoretical powder diffractogram of Mo2W2O5 for λ = 1.5418 Å (Cu Kα), from a DFT-relaxed cell (PBE+U, the Materials Project).
Kinematic intensities with the Lorentz-polarization factor, no thermal factor.

Structural model:
```
data_Mo2W2O5
_chemical_formula_sum 'Mo2 W2 O5'
_cell_length_a 3.688
_cell_length_b 3.688
_cell_length_c 8.157
_cell_angle_alpha 90.00
_cell_angle_beta 90.00
_cell_angle_gamma 90.00
_space_group_name_H-M_alt 'P 4/m m m'
_space_group_IT_number 123
_space_group_name_Hall '-P 4 2'
loop_
_atom_site_label
_atom_site_type_symbol
_atom_site_fract_x
_atom_site_fract_y
_atom_site_fract_z
Mo1 Mo 0.000 0.000 0.219
W1 W 0.500 0.500 0.000
W2 W 0.500 0.500 0.500
O1 O 0.000 0.000 0.500
O2 O 0.000 0.500 0.328
```

Largest 8 diffraction maxima, sorted by position, 2θ from 5° to 70°:
32.74°, intensity 100.0, (1 0 2); 34.39°, intensity 40.8, (1 1 0); 41.09°, intensity 10.7, (1 1 2); 44.42°, intensity 9.4, (0 0 4); 49.43°, intensity 22.6, (2 0 0); 57.36°, intensity 20.8, (1 1 4); 60.56°, intensity 34.5, (2 1 2); 68.62°, intensity 10.4, (2 0 4)

Record 4
Theoretical powder diffractogram of YMoW2O8 for λ = 1.5418 Å (Cu Kα), from a DFT-relaxed cell (PBE+U, the Materials Project).
Kinematic intensities with the Lorentz-polarization factor, no thermal factor.

Structural model:
```
data_YMoW2O8
_chemical_formula_sum 'Y2 Mo2 W4 O16'
_cell_length_a 5.385
_cell_length_b 5.822
_cell_length_c 11.108
_cell_angle_alpha 90.00
_cell_angle_beta 116.47
_cell_angle_gamma 90.00
_space_group_name_H-M_alt 'P 1 2/c 1'
_space_group_IT_number 13
_space_group_name_Hall '-P 2yc'
loop_
_atom_site_label
_atom_site_type_symbol
_atom_site_fract_x
_atom_site_fract_y
_atom_site_fract_z
Y1 Y 0.000 0.170 0.250
Mo1 Mo 0.500 0.160 0.750
W1 W 0.244 0.344 0.997
O1 O 0.172 0.394 0.610
O2 O 0.249 0.126 0.126
O3 O 0.268 0.136 0.863
O4 O 0.326 0.388 0.403
```

Largest 8 diffraction maxima, sorted by position, 2θ from 5° to 70°:
23.53°, intensity 77.3, (0 1 2); 28.40°, intensity 100.0, (1 1 1); 29.32°, intensity 91.6, (1 1 -3); 33.31°, intensity 38.7, (2 0 -2); 35.05°, intensity 51.3, (1 2 -1); 50.48°, intensity 30.0, (0 3 2); 50.65°, intensity 28.1, (1 2 3); 51.79°, intensity 29.7, (1 2 -5)

What is the formula in the third record? Mo2W2O5

What did the first record say?
Theoretical powder diffractogram of MoW2O8 for λ = 1.5418 Å (Cu Kα), from a DFT-relaxed cell (PBE+U, the Materials Project).
Kinematic intensities with the Lorentz-polarization factor, no thermal factor.

Structural model:
```
data_MoW2O8
_chemical_formula_sum 'Mo2 W4 O16'
_cell_length_a 5.060
_cell_length_b 5.853
_cell_length_c 10.846
_cell_angle_alpha 90.00
_cell_angle_beta 117.74
_cell_angle_gamma 90.00
_space_group_name_H-M_alt 'P 1 2/c 1'
_space_group_IT_number 13
_space_group_name_Hall '-P 2yc'
loop_
_atom_site_label
_atom_site_type_symbol
_atom_site_fract_x
_atom_site_fract_y
_atom_site_fract_z
Mo1 Mo 0.000 0.155 0.250
W1 W 0.228 0.330 0.993
O1 O 0.174 0.394 0.609
O2 O 0.214 0.156 0.132
O3 O 0.249 0.101 0.881
O4 O 0.315 0.391 0.395
```

Largest 8 diffraction maxima, sorted by position, 2θ from 5° to 70°:
18.49°, intensity 39.8, (0 0 2); 23.24°, intensity 36.1, (1 1 -1); 23.98°, intensity 33.2, (0 1 2); 29.86°, intensity 100.0, (1 1 -3); 35.46°, intensity 39.1, (2 0 -2); 40.27°, intensity 26.4, (2 0 0); 50.50°, intensity 16.3, (0 3 2); 52.54°, intensity 43.3, (2 0 2)

Repeat the fourth record exactly.
Theoretical powder diffractogram of YMoW2O8 for λ = 1.5418 Å (Cu Kα), from a DFT-relaxed cell (PBE+U, the Materials Project).
Kinematic intensities with the Lorentz-polarization factor, no thermal factor.

Structural model:
```
data_YMoW2O8
_chemical_formula_sum 'Y2 Mo2 W4 O16'
_cell_length_a 5.385
_cell_length_b 5.822
_cell_length_c 11.108
_cell_angle_alpha 90.00
_cell_angle_beta 116.47
_cell_angle_gamma 90.00
_space_group_name_H-M_alt 'P 1 2/c 1'
_space_group_IT_number 13
_space_group_name_Hall '-P 2yc'
loop_
_atom_site_label
_atom_site_type_symbol
_atom_site_fract_x
_atom_site_fract_y
_atom_site_fract_z
Y1 Y 0.000 0.170 0.250
Mo1 Mo 0.500 0.160 0.750
W1 W 0.244 0.344 0.997
O1 O 0.172 0.394 0.610
O2 O 0.249 0.126 0.126
O3 O 0.268 0.136 0.863
O4 O 0.326 0.388 0.403
```

Largest 8 diffraction maxima, sorted by position, 2θ from 5° to 70°:
23.53°, intensity 77.3, (0 1 2); 28.40°, intensity 100.0, (1 1 1); 29.32°, intensity 91.6, (1 1 -3); 33.31°, intensity 38.7, (2 0 -2); 35.05°, intensity 51.3, (1 2 -1); 50.48°, intensity 30.0, (0 3 2); 50.65°, intensity 28.1, (1 2 3); 51.79°, intensity 29.7, (1 2 -5)